Theoretical powder X-ray diffraction pattern
Compound: Sr2FeBrO3
Radiation: Cu Ka
Structure: the GGA+U geometry in Alexandria
Kinematic intensities with the Lorentz-polarization factor, no thermal factor.

Most intense lines, 5° ≤ 2θ ≤ 70°, by intensity:
index  2θ (°)  I_rel
1 0 4  31.88  100
1 1 0  31.71  70
2 1 4  56.59  38
2 0 0  45.45  37
1 0 6  41.06  21
1 1 4  39.23  15
0 0 2  11.20  15
2 2 0  66.24  11
2 1 6  62.90  11
0 0 1  5.59  10

Structure:
a b c (Å): 3.991 3.991 15.801
angles (deg): 90.00 90.00 90.00
Fractional positions:
Sr (0.250, 0.250, 0.088)
Sr (0.250, 0.250, 0.313)
Sr (0.750, 0.750, 0.687)
Sr (0.750, 0.750, 0.912)
Fe (0.250, 0.250, 0.811)
Fe (0.750, 0.750, 0.189)
Br (0.250, 0.250, 0.596)
Br (0.750, 0.750, 0.404)
O (0.250, 0.250, 0.932)
O (0.250, 0.750, 0.210)
O (0.250, 0.750, 0.790)
O (0.750, 0.250, 0.210)
O (0.750, 0.250, 0.790)
O (0.750, 0.750, 0.068)